Structure and calculated X-ray powder pattern of La2TmCu4 (a GGA-PBE-relaxed structure; copper Kα).
No peak broadening, texture or thermal motion is included.

Crystal structure
Lattice parameters (Å, degrees): 7.0472 7.0329 5.2049 68.45 68.16 43.39
Fractional positions:
1 La 0.2046 0.2046 0.7954
2 La 0.7954 0.7954 0.2046
3 Tm 0.5000 0.5000 0.5000
4 Cu 0.1047 0.1047 0.3953
5 Cu 0.3953 0.3953 0.1047
6 Cu 0.6047 0.6047 0.8953
7 Cu 0.8953 0.8953 0.6047

Most intense lines, 10° ≤ 2θ ≤ 90°, most intense first:
d/Å, 2θ/deg, I (rel.)
2.602, 34.46, 100
3.172, 28.13, 92
2.329, 38.66, 39
2.322, 38.78, 38
2.016, 44.95, 26
2.007, 45.17, 25
1.758, 52.03, 19
1.847, 49.34, 18
1.833, 49.73, 17
1.446, 64.46, 16